[1]
# Ba2ZnIO6
Simulated powder diffraction line list, Cu Ka. Input: a cell relaxed with PBE.
Kinematic intensities with the Lorentz-polarization factor, no thermal factor.

Structural model:
abc: 10.585 10.585 10.585
angles: 32.83 32.83 32.83
Fractional coordinates of all 20 atoms:
Ba  0.124  0.124  0.124
Ba  0.290  0.290  0.290
Ba  0.710  0.710  0.710
Ba  0.876  0.876  0.876
Zn  0.405  0.405  0.405
Zn  0.595  0.595  0.595
I  0.000  0.000  0.000
I  0.500  0.500  0.500
O  0.163  0.613  0.613
O  0.204  0.204  0.717
O  0.204  0.717  0.204
O  0.283  0.796  0.796
O  0.387  0.387  0.837
O  0.387  0.837  0.387
O  0.613  0.163  0.613
O  0.613  0.613  0.163
O  0.717  0.204  0.204
O  0.796  0.283  0.796
O  0.796  0.796  0.283
O  0.837  0.387  0.387

Principal peaks in the range 15 to 90 degrees two-theta, by angle:
d/Å, two_theta, intensity
3.303, 26.99, 36
3.039, 29.39, 23
2.991, 29.87, 100
2.597, 34.53, 32
2.217, 40.69, 27
1.727, 53.02, 20

---

[2]
# Ba8P4I
Simulated powder diffraction line list, Cu Ka. Input: a cell relaxed with PBE.
Kinematic intensities with the Lorentz-polarization factor, no thermal factor.

Structural model:
abc: 9.711 9.711 9.711
angles: 60.00 60.00 60.00
Fractional coordinates of all 13 atoms:
Ba  0.394  0.394  0.394
Ba  0.394  0.394  0.819
Ba  0.394  0.819  0.394
Ba  0.415  0.862  0.862
Ba  0.819  0.394  0.394
Ba  0.862  0.415  0.862
Ba  0.862  0.862  0.415
Ba  0.862  0.862  0.862
P  0.122  0.626  0.626
P  0.626  0.122  0.626
P  0.626  0.626  0.122
P  0.626  0.626  0.626
I  0.250  0.250  0.250

Principal peaks in the range 15 to 90 degrees two-theta, by angle:
d/Å, two_theta, intensity
3.964, 22.43, 100
3.433, 25.95, 66
2.643, 33.92, 39
2.428, 37.03, 70
2.070, 43.72, 35
1.328, 71.00, 20

---

[3]
# Ba6P3I
Simulated powder diffraction line list, Cu Ka. Input: a cell relaxed with PBE.
Kinematic intensities with the Lorentz-polarization factor, no thermal factor.

Structural model:
abc: 12.733 4.646 16.676
angles: 90.00 110.89 90.00
Fractional coordinates of all 20 atoms:
Ba  0.002  0.250  0.256
Ba  0.131  0.250  0.083
Ba  0.181  0.250  0.605
Ba  0.287  0.250  0.886
Ba  0.347  0.750  0.444
Ba  0.485  0.750  0.726
Ba  0.515  0.250  0.274
Ba  0.653  0.250  0.556
Ba  0.713  0.750  0.114
Ba  0.819  0.750  0.395
Ba  0.869  0.750  0.917
Ba  0.998  0.750  0.744
P  0.025  0.250  0.882
P  0.248  0.750  0.749
P  0.420  0.250  0.586
P  0.580  0.750  0.414
P  0.752  0.250  0.251
P  0.975  0.750  0.118
I  0.382  0.750  0.080
I  0.618  0.250  0.920

Principal peaks in the range 15 to 90 degrees two-theta, by angle:
d/Å, two_theta, intensity
4.078, 21.80, 36
3.971, 22.39, 41
3.661, 24.31, 44
3.463, 25.73, 100
3.182, 28.04, 62
2.323, 38.77, 71

---

Question: Number 3 is which compound?
Answer: Ba6P3I